[1]
Calculated powder diffractogram
Compound: La6PdCl8
Radiation: Cu Kα X-rays
Structure: a PBE-relaxed structure
Peak positions follow from Bragg's law for the DFT cell and can differ from measured ones.

Peak list (8 most intense, 10 to 90 degrees two-theta, in order of rising 2θ)
- 26.22 deg, I = 36
- 30.34 deg, I = 100
- 36.25 deg, I = 18
- 43.36 deg, I = 36
- 43.51 deg, I = 34
- 53.96 deg, I = 19
- 71.51 deg, I = 15
- 71.72 deg, I = 16

Structure:
Lattice parameters (Å, degrees): 11.052 11.052 11.052 38.05 38.05 38.05
Fractional coordinates of all 15 atoms:
La 0.109 0.445 0.780
La 0.220 0.891 0.555
La 0.445 0.780 0.109
La 0.555 0.220 0.891
La 0.780 0.109 0.445
La 0.891 0.555 0.220
Pd 0.500 0.500 0.500
Cl 0.064 0.716 0.390
Cl 0.167 0.167 0.167
Cl 0.284 0.610 0.936
Cl 0.390 0.064 0.716
Cl 0.610 0.936 0.284
Cl 0.716 0.390 0.064
Cl 0.833 0.833 0.833
Cl 0.936 0.284 0.610



[2]
Calculated powder diffractogram
Compound: LaPmCl4
Radiation: Cu Kα X-rays
Structure: a PBE-relaxed structure
Peak positions follow from Bragg's law for the DFT cell and can differ from measured ones.

Peak list (8 most intense, 10 to 90 degrees two-theta, in order of rising 2θ)
- 17.63 deg, I = 100
- 28.58 deg, I = 37
- 31.81 deg, I = 84
- 36.62 deg, I = 32
- 43.29 deg, I = 32
- 45.60 deg, I = 58
- 56.67 deg, I = 20
- 84.33 deg, I = 19

Structure:
Lattice parameters (Å, degrees): 5.623 5.623 11.266 90.00 90.00 90.00
Fractional coordinates of all 12 atoms:
La 0.000 0.000 0.000
La 0.500 0.500 0.500
Pm 0.000 0.500 0.750
Pm 0.500 0.000 0.250
Cl 0.000 0.000 0.260
Cl 0.000 0.000 0.740
Cl 0.000 0.500 0.003
Cl 0.000 0.500 0.497
Cl 0.500 0.000 0.503
Cl 0.500 0.000 0.997
Cl 0.500 0.500 0.240
Cl 0.500 0.500 0.760



[3]
Calculated powder diffractogram
Compound: La2Pm4Tl3Cl2
Radiation: Cu Kα X-rays
Structure: a PBE-relaxed structure
Peak positions follow from Bragg's law for the DFT cell and can differ from measured ones.

Peak list (8 most intense, 10 to 90 degrees two-theta, in order of rising 2θ)
- 16.80 deg, I = 23
- 24.43 deg, I = 29
- 31.10 deg, I = 50
- 32.53 deg, I = 100
- 33.10 deg, I = 81
- 46.05 deg, I = 34
- 47.51 deg, I = 30
- 58.76 deg, I = 38

Structure:
Lattice parameters (Å, degrees): 12.481 12.481 12.481 154.95 154.95 35.72
Fractional coordinates of all 11 atoms:
La 0.202 0.202 0.000
La 0.798 0.798 0.000
Pm 0.085 0.585 0.500
Pm 0.415 0.915 0.500
Pm 0.585 0.085 0.500
Pm 0.915 0.415 0.500
Tl 0.339 0.339 0.000
Tl 0.500 0.500 0.000
Tl 0.661 0.661 0.000
Cl 0.074 0.074 0.000
Cl 0.926 0.926 0.000



[4]
Calculated powder diffractogram
Compound: LaPrCl
Radiation: Cu Kα X-rays
Structure: a PBE-relaxed structure
Peak positions follow from Bragg's law for the DFT cell and can differ from measured ones.

Peak list (8 most intense, 10 to 90 degrees two-theta, in order of rising 2θ)
- 27.03 deg, I = 100
- 31.20 deg, I = 59
- 31.53 deg, I = 29
- 44.71 deg, I = 21
- 44.95 deg, I = 42
- 53.02 deg, I = 32
- 53.45 deg, I = 16
- 55.73 deg, I = 22

Structure:
Lattice parameters (Å, degrees): 6.977 6.972 5.733 65.77 65.69 48.54
Fractional coordinates of all 6 atoms:
La 0.249 0.751 0.249
La 0.751 0.249 0.751
Pr 0.000 0.500 0.000
Pr 0.500 0.000 0.500
Cl 0.251 0.749 0.749
Cl 0.749 0.251 0.251



[5]
Calculated powder diffractogram
Compound: LaPrSe2Cl
Radiation: Cu Kα X-rays
Structure: a PBE-relaxed structure
Peak positions follow from Bragg's law for the DFT cell and can differ from measured ones.

Peak list (8 most intense, 10 to 90 degrees two-theta, in order of rising 2θ)
- 24.11 deg, I = 37
- 24.81 deg, I = 30
- 29.35 deg, I = 100
- 31.15 deg, I = 22
- 37.66 deg, I = 25
- 38.80 deg, I = 62
- 41.99 deg, I = 52
- 43.31 deg, I = 31

Structure:
Lattice parameters (Å, degrees): 4.303 4.303 14.355 90.00 90.00 90.00
Fractional coordinates of all 10 atoms:
La 0.250 0.250 0.096
La 0.750 0.750 0.904
Pr 0.250 0.250 0.644
Pr 0.750 0.750 0.356
Se 0.250 0.250 0.304
Se 0.250 0.250 0.877
Se 0.750 0.750 0.123
Se 0.750 0.750 0.696
Cl 0.250 0.750 0.500
Cl 0.750 0.250 0.500



[6]
Calculated powder diffractogram
Compound: La2Pr4Sn3Cl2
Radiation: Cu Kα X-rays
Structure: a PBE-relaxed structure
Peak positions follow from Bragg's law for the DFT cell and can differ from measured ones.

Peak list (8 most intense, 10 to 90 degrees two-theta, in order of rising 2θ)
- 24.49 deg, I = 41
- 27.55 deg, I = 26
- 30.31 deg, I = 30
- 32.05 deg, I = 100
- 33.31 deg, I = 79
- 45.66 deg, I = 19
- 47.83 deg, I = 29
- 58.73 deg, I = 40

Structure:
Lattice parameters (Å, degrees): 12.912 12.912 12.912 155.95 155.95 34.27
Fractional coordinates of all 11 atoms:
La 0.198 0.198 0.000
La 0.802 0.802 0.000
Pr 0.087 0.587 0.500
Pr 0.413 0.913 0.500
Pr 0.587 0.087 0.500
Pr 0.913 0.413 0.500
Sn 0.330 0.330 0.000
Sn 0.500 0.500 0.000
Sn 0.670 0.670 0.000
Cl 0.069 0.069 0.000
Cl 0.931 0.931 0.000



[7]
Calculated powder diffractogram
Compound: La8Pt6Cl
Radiation: Cu Kα X-rays
Structure: a PBE-relaxed structure
Peak positions follow from Bragg's law for the DFT cell and can differ from measured ones.

Peak list (8 most intense, 10 to 90 degrees two-theta, in order of rising 2θ)
- 18.64 deg, I = 37
- 27.34 deg, I = 52
- 32.58 deg, I = 47
- 33.30 deg, I = 100
- 33.60 deg, I = 54
- 43.04 deg, I = 84
- 47.50 deg, I = 29
- 66.63 deg, I = 26

Structure:
Lattice parameters (Å, degrees): 9.520 9.520 5.335 90.00 90.00 120.00
Fractional coordinates of all 15 atoms:
La 0.064 0.752 0.253
La 0.248 0.312 0.253
La 0.312 0.064 0.747
La 0.333 0.667 0.762
La 0.667 0.333 0.238
La 0.688 0.936 0.253
La 0.752 0.688 0.747
La 0.936 0.248 0.747
Pt 0.014 0.415 0.246
Pt 0.401 0.986 0.246
Pt 0.415 0.401 0.754
Pt 0.585 0.599 0.246
Pt 0.599 0.014 0.754
Pt 0.986 0.585 0.754
Cl 0.000 0.000 0.000



[8]
Calculated powder diffractogram
Compound: LaPtCl
Radiation: Cu Kα X-rays
Structure: a PBE-relaxed structure
Peak positions follow from Bragg's law for the DFT cell and can differ from measured ones.

Peak list (8 most intense, 10 to 90 degrees two-theta, in order of rising 2θ)
- 26.20 deg, I = 23
- 30.78 deg, I = 100
- 36.85 deg, I = 33
- 41.65 deg, I = 48
- 42.53 deg, I = 30
- 46.43 deg, I = 24
- 52.67 deg, I = 22
- 69.29 deg, I = 19

Structure:
Lattice parameters (Å, degrees): 7.509 4.340 10.982 90.00 103.23 90.00
Fractional coordinates of all 12 atoms:
La 0.065 0.000 0.195
La 0.435 0.500 0.805
La 0.565 0.500 0.195
La 0.935 0.000 0.805
Pt 0.150 0.500 0.951
Pt 0.350 0.000 0.049
Pt 0.650 0.000 0.951
Pt 0.850 0.500 0.049
Cl 0.217 0.000 0.651
Cl 0.283 0.500 0.349
Cl 0.717 0.500 0.651
Cl 0.783 0.000 0.349



[9]
Calculated powder diffractogram
Compound: LaPtCl2
Radiation: Cu Kα X-rays
Structure: a PBE-relaxed structure
Peak positions follow from Bragg's law for the DFT cell and can differ from measured ones.

Peak list (8 most intense, 10 to 90 degrees two-theta, in order of rising 2θ)
- 13.48 deg, I = 100
- 27.16 deg, I = 16
- 30.58 deg, I = 47
- 30.90 deg, I = 22
- 36.03 deg, I = 26
- 36.86 deg, I = 20
- 41.24 deg, I = 11
- 46.61 deg, I = 16

Structure:
Lattice parameters (Å, degrees): 13.143 3.911 4.615 90.00 92.09 90.00
Fractional coordinates of all 8 atoms:
La 0.000 0.000 0.000
La 0.500 0.500 0.000
Pt 0.000 0.500 0.500
Pt 0.500 0.000 0.500
Cl 0.153 0.500 0.771
Cl 0.347 0.000 0.229
Cl 0.653 0.000 0.771
Cl 0.847 0.500 0.229



[10]
Calculated powder diffractogram
Compound: La6Pt3Cl
Radiation: Cu Kα X-rays
Structure: a PBE-relaxed structure
Peak positions follow from Bragg's law for the DFT cell and can differ from measured ones.

Peak list (8 most intense, 10 to 90 degrees two-theta, in order of rising 2θ)
- 14.50 deg, I = 62
- 24.43 deg, I = 90
- 28.97 deg, I = 77
- 31.24 deg, I = 100
- 32.71 deg, I = 55
- 40.07 deg, I = 65
- 42.79 deg, I = 65
- 49.71 deg, I = 33

Structure:
Lattice parameters (Å, degrees): 12.391 4.227 12.531 90.00 109.55 90.00
Fractional coordinates of all 20 atoms:
La 0.078 0.250 0.395
La 0.095 0.750 0.945
La 0.289 0.750 0.263
La 0.291 0.750 0.745
La 0.389 0.250 0.045
La 0.408 0.250 0.561
La 0.592 0.750 0.439
La 0.611 0.750 0.955
La 0.709 0.250 0.255
La 0.711 0.250 0.737
La 0.905 0.250 0.055
La 0.922 0.750 0.605
Pt 0.160 0.250 0.117
Pt 0.239 0.750 0.490
Pt 0.465 0.250 0.820
Pt 0.535 0.750 0.180
Pt 0.761 0.250 0.510
Pt 0.840 0.750 0.883
Cl 0.112 0.250 0.766
Cl 0.888 0.750 0.234



[11]
Calculated powder diffractogram
Compound: RbLa4Cl12
Radiation: Cu Kα X-rays
Structure: a PBE-relaxed structure
Peak positions follow from Bragg's law for the DFT cell and can differ from measured ones.

Peak list (8 most intense, 10 to 90 degrees two-theta, in order of rising 2θ)
- 16.03 deg, I = 100
- 16.38 deg, I = 39
- 23.00 deg, I = 66
- 32.33 deg, I = 25
- 32.46 deg, I = 24
- 37.00 deg, I = 24
- 40.10 deg, I = 42
- 40.56 deg, I = 28

Structure:
Lattice parameters (Å, degrees): 9.507 9.507 9.507 110.62 109.06 108.73
Fractional coordinates of all 17 atoms:
Rb 0.000 0.000 0.000
La 0.000 0.000 0.500
La 0.000 0.500 0.000
La 0.500 0.000 0.000
La 0.500 0.500 0.500
Cl 0.006 0.702 0.304
Cl 0.248 0.192 0.440
Cl 0.248 0.808 0.056
Cl 0.251 0.063 0.813
Cl 0.251 0.438 0.187
Cl 0.398 0.702 0.696
Cl 0.602 0.298 0.304
Cl 0.749 0.562 0.813
Cl 0.749 0.937 0.187
Cl 0.752 0.192 0.944
Cl 0.752 0.808 0.560
Cl 0.994 0.298 0.696



[12]
Calculated powder diffractogram
Compound: La4ReCl5
Radiation: Cu Kα X-rays
Structure: a PBE-relaxed structure
Peak positions follow from Bragg's law for the DFT cell and can differ from measured ones.

Peak list (8 most intense, 10 to 90 degrees two-theta, in order of rising 2θ)
- 10.04 deg, I = 68
- 10.37 deg, I = 100
- 12.14 deg, I = 26
- 28.91 deg, I = 88
- 30.44 deg, I = 36
- 41.63 deg, I = 26
- 43.32 deg, I = 28
- 52.90 deg, I = 27

Structure:
Lattice parameters (Å, degrees): 9.463 9.463 8.921 106.65 106.65 26.18
Fractional coordinates of all 10 atoms:
La 0.001 0.001 0.234
La 0.350 0.350 0.904
La 0.650 0.650 0.096
La 0.999 0.999 0.766
Re 0.500 0.500 0.000
Cl 0.167 0.167 0.328
Cl 0.170 0.170 0.875
Cl 0.500 0.500 0.500
Cl 0.830 0.830 0.125
Cl 0.833 0.833 0.672